(1)
# SmEr2Co2B2N3
Theoretical XRD peak list, Cu Kα X-rays. Input: a GGA-PBE-relaxed structure.

Principal peaks in the range 5° ≤ 2θ ≤ 70°, low angle first:
h k l  2theta  I (rel.)
1 0 3  28.99  100.0
1 0 5  34.20  74.9
0 0 8  35.95  49.6
1 1 0  36.58  40.5
1 1 2  37.71  33.4
1 1 4  40.94  37.8
2 0 0  52.69  35.3
2 0 8  65.44  33.1

Structure:
Cell: 3.4741 3.4741 19.9842 Å, 90.00 90.00 90.00°
Space group I4/mmm (No. 139)
One atom of each set of equivalent atoms:
1 Sm 0.0000 0.0000 0.0000 (multiplicity 2)
2 Er 0.0000 0.0000 0.3747 (multiplicity 4)
3 Co 0.0000 0.5000 0.2500 (multiplicity 4)
4 B 0.0000 0.0000 0.1947 (multiplicity 4)
5 N 0.0000 0.0000 0.1197 (multiplicity 4)
6 N 0.0000 0.0000 0.5000 (multiplicity 2)

=====

(2)
# TbErCo2B2N2
Theoretical XRD peak list, Cu Kα X-rays. Input: a GGA-PBE-relaxed structure.

Principal peaks in the range 5° ≤ 2θ ≤ 70°, low angle first:
h k l  2theta  I (rel.)
1 0 1  28.36  100.0
1 0 2  35.37  67.2
0 0 3  36.24  46.4
1 1 1  38.61  62.8
1 1 2  44.20  45.8
2 0 0  52.72  34.9
2 1 1  60.94  25.5
2 0 3  65.65  31.2

Structure:
Cell: 3.4727 3.4727 7.4367 Å, 90.00 90.00 90.00°
Space group P4mm (No. 99)
One atom of each set of equivalent atoms:
1 Tb 0.0000 0.0000 0.0000 (multiplicity 1)
2 Er 0.5000 0.5000 0.6641 (multiplicity 1)
3 Co 0.0000 0.5000 0.3320 (multiplicity 2)
4 B 0.0000 0.0000 0.4814 (multiplicity 1)
5 B 0.5000 0.5000 0.1808 (multiplicity 1)
6 N 0.0000 0.0000 0.6838 (multiplicity 1)
7 N 0.5000 0.5000 0.9771 (multiplicity 1)